Entry 1:
For Mg15Zn, a DFT-relaxed cell (PBE, the Materials Project) gives the calculated powder diffractogram in this record (Cu Kα (λ = 1.5418 Å)).

Atomic structure:
```
data_Mg15Zn
_chemical_formula_sum 'Mg15 Zn1'
_cell_length_a 6.3597
_cell_length_b 6.3597
_cell_length_c 10.2105
_cell_angle_alpha 90.00
_cell_angle_beta 90.00
_cell_angle_gamma 120.00
_space_group_name_H-M_alt 'P -6 m 2'
_space_group_IT_number 187
_space_group_name_Hall 'P -6 2'
loop_
_atom_site_label
_atom_site_fract_x
_atom_site_fract_y
_atom_site_fract_z
Mg1 0.0000 0.0000 0.0000
Mg2 0.0012 0.5006 0.5000
Mg3 0.3308 0.1654 0.2528
Mg4 0.3333 0.6667 0.2499
Mg5 0.5003 0.0005 0.0000
Zn1 0.0000 0.0000 0.5000
```

Peak list (10 most intense, 10 to 90 degrees two-theta, by angle)
| index | 2θ/deg | I (rel.) |
| --- | --- | --- |
| 1 0 0 | 16.09 | 5 |
| 1 0 1 | 18.30 | 8 |
| 2 0 0 | 32.51 | 25 |
| 0 0 4 | 35.16 | 26 |
| 2 0 2 | 37.09 | 100 |
| 2 0 4 | 48.64 | 15 |
| 2 2 0 | 58.01 | 17 |
| 2 0 6 | 64.35 | 18 |
| 2 2 4 | 69.67 | 19 |
| 4 0 2 | 70.89 | 14 |

Entry 2:
For Cs3NpH8O9, a DFT-relaxed cell (PBE, the Materials Project) gives the calculated powder diffractogram in this record (Cu Kα (λ = 1.5418 Å)).

Atomic structure:
```
data_Cs3NpH8O9
_chemical_formula_sum 'Cs12 Np4 H32 O36'
_cell_length_a 13.0003
_cell_length_b 11.7652
_cell_length_c 8.3067
_cell_angle_alpha 90.00
_cell_angle_beta 94.77
_cell_angle_gamma 90.00
_space_group_name_H-M_alt 'C 1 2/c 1'
_space_group_IT_number 15
loop_
_space_group_symop_operation_xyz
'x,y,z'
'-x,-y,-z'
'-x,y,-z+1/2'
'x,-y,z+1/2'
'x+1/2,y+1/2,z'
'-x+1/2,-y+1/2,-z'
'-x+1/2,y+1/2,-z+1/2'
'x+1/2,-y+1/2,z+1/2'
loop_
_atom_site_label
_atom_site_fract_x
_atom_site_fract_y
_atom_site_fract_z
Cs1 0.0000 0.0694 0.2500
Cs2 0.1983 0.4129 0.4496
Np1 0.2500 0.2500 0.0000
H1 0.0140 0.2382 0.5630
H2 0.0308 0.4202 0.8364
H3 0.0657 0.3761 0.0802
H4 0.1020 0.1846 0.6891
O1 0.0000 0.4735 0.7500
O2 0.0722 0.1813 0.5767
O3 0.0792 0.3346 0.9824
O4 0.1938 0.1211 0.8814
O5 0.2244 0.1799 0.1988
```

Peak list (10 most intense, 10 to 90 degrees two-theta, by angle)
| index | 2θ/deg | I (rel.) |
| --- | --- | --- |
| 2 0 0 | 13.67 | 56 |
| 1 1 1 | 15.17 | 32 |
| 2 2 0 | 20.39 | 27 |
| 3 1 0 | 21.92 | 28 |
| 2 2 1 | 23.63 | 36 |
| 1 1 2 | 24.32 | 28 |
| 2 0 -2 | 24.54 | 56 |
| 1 3 -1 | 25.82 | 100 |
| 1 3 1 | 26.31 | 43 |
| 3 3 1 | 33.27 | 30 |

Entry 3:
For Ca2SiO4, a DFT-relaxed cell (PBE, the Materials Project) gives the calculated powder diffractogram in this record (Cu Kα (λ = 1.5418 Å)).

Atomic structure:
```
data_Ca2SiO4
_chemical_formula_sum 'Ca4 Si2 O8'
_cell_length_a 5.5352
_cell_length_b 5.5352
_cell_length_c 7.5625
_cell_angle_alpha 90.00
_cell_angle_beta 90.00
_cell_angle_gamma 120.00
_space_group_name_H-M_alt 'P 63 m c'
_space_group_IT_number 186
_space_group_name_Hall 'P 6c -2c'
loop_
_atom_site_label
_atom_site_fract_x
_atom_site_fract_y
_atom_site_fract_z
Ca1 0.0000 0.0000 0.0000
Ca2 0.3333 0.6667 0.2593
Si1 0.3333 0.6667 0.7783
O1 0.1698 0.3397 0.7145
O2 0.3333 0.6667 0.9922
```

Peak list (10 most intense, 10 to 90 degrees two-theta, by angle)
| index | 2θ/deg | I (rel.) |
| --- | --- | --- |
| 0 0 2 | 23.53 | 20 |
| 1 0 2 | 30.10 | 75 |
| 1 1 0 | 32.35 | 100 |
| 2 0 1 | 39.44 | 30 |
| 2 0 2 | 44.77 | 48 |
| 0 0 4 | 48.13 | 17 |
| 2 1 2 | 56.31 | 22 |
| 3 0 0 | 57.69 | 17 |
| 1 1 4 | 59.18 | 32 |
| 2 2 0 | 67.71 | 21 |

Entry 4:
For U3Fe4Ge4, a DFT-relaxed cell (PBE, the Materials Project) gives the calculated powder diffractogram in this record (Cu Kα (λ = 1.5418 Å)).

Atomic structure:
```
data_U3Fe4Ge4
_chemical_formula_sum 'U6 Fe8 Ge8'
_cell_length_a 4.1145
_cell_length_b 6.4861
_cell_length_c 13.7816
_cell_angle_alpha 90.00
_cell_angle_beta 90.00
_cell_angle_gamma 90.00
_space_group_name_H-M_alt 'I m m m'
_space_group_IT_number 71
_space_group_name_Hall '-I 2 2'
loop_
_atom_site_label
_atom_site_fract_x
_atom_site_fract_y
_atom_site_fract_z
U1 0.0000 0.0000 0.0000
U2 0.0000 0.5000 0.1370
Fe1 0.0000 0.2947 0.3242
Ge1 0.0000 0.0000 0.2075
Ge2 0.0000 0.1990 0.5000
```

Peak list (10 most intense, 10 to 90 degrees two-theta, by angle)
| index | 2θ/deg | I (rel.) |
| --- | --- | --- |
| 1 0 1 | 22.55 | 24 |
| 0 1 3 | 23.73 | 35 |
| 0 2 0 | 27.50 | 21 |
| 1 1 2 | 28.78 | 19 |
| 0 1 5 | 35.38 | 26 |
| 1 2 1 | 35.85 | 100 |
| 1 1 4 | 36.74 | 100 |
| 0 0 6 | 39.22 | 21 |
| 2 0 0 | 44.02 | 35 |
| 0 3 3 | 46.42 | 26 |

Entry 5:
For Fe9BP2, a DFT-relaxed cell (PBE, the Materials Project) gives the calculated powder diffractogram in this record (Cu Kα (λ = 1.5418 Å)).

Atomic structure:
```
data_Fe9BP2
_chemical_formula_sum 'Fe36 B4 P8'
_cell_length_a 4.3503
_cell_length_b 6.7070
_cell_length_c 18.7582
_cell_angle_alpha 90.14
_cell_angle_beta 96.26
_cell_angle_gamma 108.81
_space_group_name_H-M_alt 'P 1'
_space_group_IT_number 1
loop_
_space_group_symop_operation_xyz
'x,y,z'
loop_
_atom_site_label
_atom_site_fract_x
_atom_site_fract_y
_atom_site_fract_z
Fe1 0.0000 0.0000 0.0000
Fe2 0.0000 0.1292 0.8673
Fe3 0.0227 0.8950 0.1401
Fe4 0.0709 0.5489 0.0952
Fe5 0.1019 0.2665 0.4006
Fe6 0.1244 0.9805 0.2647
Fe7 0.1430 0.7568 0.5451
Fe8 0.1502 0.8864 0.4060
Fe9 0.2255 0.5892 0.3264
Fe10 0.2301 0.3265 0.6449
Fe11 0.2324 0.5416 0.8896
Fe12 0.2629 0.3392 0.1934
Fe13 0.3223 0.9927 0.6654
Fe14 0.3281 0.1279 0.5319
Fe15 0.3854 0.9134 0.8107
Fe16 0.4039 0.5437 0.7603
Fe17 0.4470 0.2820 0.0743
Fe18 0.4653 0.9845 0.9357
Fe19 0.4786 0.7508 0.2067
Fe20 0.4830 0.8835 0.0766
Fe21 0.5590 0.5419 0.5525
Fe22 0.5633 0.3240 0.3102
Fe23 0.5731 0.5983 0.0042
Fe24 0.5966 0.3318 0.8612
Fe25 0.6556 0.9900 0.3304
Fe26 0.6602 0.1260 0.1989
Fe27 0.7166 0.9138 0.4758
Fe28 0.7353 0.5440 0.4240
Fe29 0.7695 0.2661 0.7356
Fe30 0.7929 0.9840 0.6011
Fe31 0.8125 0.7574 0.8812
Fe32 0.8192 0.8862 0.7421
Fe33 0.8703 0.5390 0.2116
Fe34 0.8985 0.3302 0.9803
Fe35 0.8987 0.5925 0.6642
Fe36 0.9276 0.3345 0.5261
B1 0.0186 0.2707 0.2862
B2 0.3602 0.2790 0.9569
B3 0.6008 0.6015 0.1186
B4 0.6866 0.2753 0.6207
P1 0.1021 0.6952 0.9845
P2 0.2375 0.1857 0.7601
P3 0.2790 0.6021 0.4518
P4 0.4356 0.6932 0.6494
P5 0.5696 0.1861 0.4251
P6 0.7656 0.6909 0.3126
P7 0.9036 0.1880 0.0933
P8 0.9473 0.5997 0.7891
```

Peak list (10 most intense, 10 to 90 degrees two-theta, by angle)
| index | 2θ/deg | I (rel.) |
| --- | --- | --- |
| 1 2 -2 | 41.56 | 38 |
| 1 2 1 | 42.09 | 67 |
| -1 3 2 | 42.18 | 33 |
| 1 0 -8 | 42.37 | 32 |
| 0 0 9 | 43.73 | 39 |
| 2 -1 2 | 44.01 | 98 |
| -2 1 4 | 44.22 | 32 |
| 0 3 3 | 45.88 | 46 |
| 1 -3 4 | 46.19 | 100 |
| 1 1 7 | 47.86 | 38 |

Entry 6:
For ErGe, a DFT-relaxed cell (PBE, the Materials Project) gives the calculated powder diffractogram in this record (Cu Kα (λ = 1.5418 Å)).

Atomic structure:
```
data_ErGe
_chemical_formula_sum 'Er4 Ge4'
_cell_length_a 4.2499
_cell_length_b 10.6480
_cell_length_c 3.9309
_cell_angle_alpha 90.00
_cell_angle_beta 90.00
_cell_angle_gamma 90.00
_space_group_name_H-M_alt 'C m c m'
_space_group_IT_number 63
_space_group_name_Hall '-C 2c 2'
loop_
_atom_site_label
_atom_site_fract_x
_atom_site_fract_y
_atom_site_fract_z
Er1 0.0000 0.1381 0.2500
Ge1 0.0000 0.4134 0.2500
```

Peak list (10 most intense, 10 to 90 degrees two-theta, by angle)
| index | 2θ/deg | I (rel.) |
| --- | --- | --- |
| 0 2 1 | 28.22 | 23 |
| 1 1 1 | 32.14 | 100 |
| 1 3 0 | 32.88 | 32 |
| 0 4 0 | 33.67 | 32 |
| 1 3 1 | 40.28 | 51 |
| 2 0 0 | 42.54 | 25 |
| 0 0 2 | 46.19 | 19 |
| 1 5 1 | 53.47 | 13 |
| 2 4 0 | 55.32 | 16 |
| 2 0 2 | 64.59 | 14 |

Entry 7:
For LaIn2Ir, a DFT-relaxed cell (PBE, the Materials Project) gives the calculated powder diffractogram in this record (Cu Kα (λ = 1.5418 Å)).

Atomic structure:
```
data_LaIn2Ir
_chemical_formula_sum 'La4 In8 Ir4'
_cell_length_a 4.4757
_cell_length_b 10.3662
_cell_length_c 8.1965
_cell_angle_alpha 90.00
_cell_angle_beta 90.00
_cell_angle_gamma 90.00
_space_group_name_H-M_alt 'C m c m'
_space_group_IT_number 63
_space_group_name_Hall '-C 2c 2'
loop_
_atom_site_label
_atom_site_fract_x
_atom_site_fract_y
_atom_site_fract_z
La1 0.0000 0.0668 0.2500
In1 0.0000 0.3526 0.0517
Ir1 0.0000 0.2153 0.7500
```

Peak list (10 most intense, 10 to 90 degrees two-theta, by angle)
| index | 2θ/deg | I (rel.) |
| --- | --- | --- |
| 0 2 0 | 17.11 | 28 |
| 1 1 2 | 30.81 | 100 |
| 1 3 1 | 34.57 | 92 |
| 0 4 1 | 36.36 | 43 |
| 1 1 3 | 39.61 | 93 |
| 2 0 0 | 40.30 | 49 |
| 0 4 2 | 41.21 | 20 |
| 1 3 3 | 47.01 | 18 |
| 2 4 1 | 55.39 | 25 |
| 1 7 0 | 66.50 | 40 |

Entry 8:
For Mg6AlBiO8, a DFT-relaxed cell (PBE, the Materials Project) gives the calculated powder diffractogram in this record (Cu Kα (λ = 1.5418 Å)).

Atomic structure:
```
data_Mg6AlBiO8
_chemical_formula_sum 'Mg6 Al1 Bi1 O8'
_cell_length_a 4.4096
_cell_length_b 4.4096
_cell_length_c 9.4862
_cell_angle_alpha 90.00
_cell_angle_beta 90.00
_cell_angle_gamma 90.00
_space_group_name_H-M_alt 'P 4/m m m'
_space_group_IT_number 123
_space_group_name_Hall '-P 4 2'
loop_
_atom_site_label
_atom_site_fract_x
_atom_site_fract_y
_atom_site_fract_z
Mg1 0.0000 0.0000 0.0000
Mg2 0.0000 0.0000 0.5000
Mg3 0.0000 0.5000 0.2365
Al1 0.5000 0.5000 0.0000
Bi1 0.5000 0.5000 0.5000
O1 0.0000 0.0000 0.2486
O2 0.0000 0.5000 0.0000
O3 0.0000 0.5000 0.5000
O4 0.5000 0.5000 0.1865
```

Peak list (10 most intense, 10 to 90 degrees two-theta, by angle)
| index | 2θ/deg | I (rel.) |
| --- | --- | --- |
| 0 0 2 | 18.71 | 50 |
| 1 0 0 | 20.14 | 74 |
| 1 0 1 | 22.23 | 96 |
| 1 0 2 | 27.62 | 79 |
| 1 1 1 | 30.17 | 52 |
| 1 1 2 | 34.42 | 84 |
| 1 0 3 | 34.92 | 52 |
| 0 0 4 | 37.94 | 54 |
| 2 0 0 | 40.93 | 100 |
| 2 0 4 | 57.03 | 61 |